[1]
MnGaIr: calculated X-ray diffraction stick pattern (λ = 1.5418 Å (Cu Kα)), based on a structure optimized by DFT (GGA-PBE).
Neutral-atom scattering factors, no anomalous dispersion.

Cell and atoms:
Cell lengths 4.1185, 4.1185, 4.1185 Å; angles 60.00, 60.00, 60.00 degrees
Positions (direct):
Mn 0.0000 0.0000 0.0000
Ga 0.2500 0.2500 0.2500
Ir 0.5000 0.5000 0.5000

Peak list (8 most intense, 10° ≤ 2θ ≤ 90°, sorted by position)
2θ 26.51, I = 58; 2θ 30.70, I = 39; 2θ 43.97, I = 100; 2θ 52.08, I = 29; 2θ 63.94, I = 16; 2θ 70.47, I = 12; 2θ 72.59, I = 13; 2θ 80.85, I = 33

---

[2]
MnGaIr2: calculated X-ray diffraction stick pattern (λ = 1.5418 Å (Cu Kα)), based on a structure optimized by DFT (GGA-PBE).
Neutral-atom scattering factors, no anomalous dispersion.

Cell and atoms:
Cell lengths 3.0647, 3.0647, 6.0765 Å; angles 90.00, 90.00, 90.00 degrees
Positions (direct):
Mn 0.0000 0.0000 0.0000
Ga 0.0000 0.0000 0.5000
Ir 0.5000 0.5000 0.2519
Ir 0.5000 0.5000 0.7481

Peak list (8 most intense, 10° ≤ 2θ ≤ 90°, sorted by position)
2θ 29.14, I = 31; 2θ 29.40, I = 15; 2θ 41.68, I = 51; 2θ 41.87, I = 100; 2θ 51.82, I = 14; 2θ 60.41, I = 17; 2θ 76.20, I = 34; 2θ 76.59, I = 17